Structure and computed X-ray powder pattern of YH12Rh5 (a DFT-relaxed cell (PBE, Alexandria); Cu Kα (weighted mean of Kα1 and Kα2)).
Neutral-atom scattering factors, no anomalous dispersion.

Crystal structure
```
YH12Rh5
1.0
4.182 0.000 0.000
-0.084 4.349 0.000
-0.139 -1.287 8.697
Y H Rh
1 12 5
Cartesian
0.000 0.000 0.000
0.492 2.179 0.987
0.582 0.016 2.456
0.508 0.404 5.980
1.608 2.206 7.741
1.824 -0.207 7.297
1.834 1.614 5.314
2.125 1.448 3.383
2.135 3.270 1.400
2.351 0.857 0.956
3.451 2.659 2.717
3.377 3.046 6.241
3.467 0.884 7.710
0.902 0.495 4.296
0.942 2.771 2.542
2.049 2.175 0.000
3.017 0.292 6.155
3.057 2.568 4.401
```

Main lines, sorted by position (10 to 90 degrees two-theta):
2theta  I/Imax  h k l
20.4  53  0 0 2
23.8  45  1 0 1
33.0  47  1 1 1
34.5  100  1 -1 2
37.7  79  -1 1 2
41.0  58  1 1 -3
41.8  46  0 2 -1
44.8  48  2 0 1